Record 1
Starting from a GGA-PBE-relaxed structure, the powder diffractogram of ZnAg2C4S4N4 was simulated for copper Kα.
Intensities are scaled so that the largest is 1000.

Most intense lines, 2θ from 10° to 80°, in order of rising 2θ:
| 2θ/deg | I_rel |
| --- | --- |
| 17.6 | 1000 |
| 20.1 | 976 |
| 21.7 | 995 |
| 25.5 | 682 |
| 27.5 | 718 |
| 41.4 | 672 |

Crystal structure
Lattice parameters (Å, degrees): 10.705 10.705 7.938 96.03 96.03 42.75
Element x y z (fractional)
Zn: 0.164 0.836 0.500
Zn: 0.836 0.164 0.000
Ag: 0.203 0.387 0.987
Ag: 0.387 0.203 0.487
Ag: 0.606 0.803 0.014
Ag: 0.803 0.606 0.514
C: 0.090 0.161 0.402
C: 0.161 0.090 0.902
C: 0.355 0.480 0.284
C: 0.480 0.355 0.784
C: 0.526 0.635 0.710
C: 0.635 0.526 0.210
C: 0.837 0.907 0.583
C: 0.907 0.837 0.083
S: 0.088 0.310 0.359
S: 0.271 0.463 0.721
S: 0.310 0.088 0.859
S: 0.463 0.271 0.221
S: 0.531 0.734 0.274
S: 0.691 0.907 0.632
S: 0.734 0.531 0.774
S: 0.907 0.691 0.132
N: 0.052 0.095 0.927
N: 0.095 0.052 0.427
N: 0.278 0.630 0.330
N: 0.375 0.713 0.668
N: 0.630 0.278 0.830
N: 0.713 0.375 0.168
N: 0.908 0.941 0.056
N: 0.941 0.908 0.556



Record 2
Starting from a GGA-PBE-relaxed structure, the powder diffractogram of Dy4In20Ni11 was simulated for copper Kα.
Intensities are scaled so that the largest is 1000.

Most intense lines, 2θ from 10° to 80°, in order of rising 2θ:
| 2θ/deg | I_rel |
| --- | --- |
| 34.9 | 530 |
| 35.5 | 833 |
| 35.7 | 620 |
| 35.9 | 505 |
| 36.2 | 660 |
| 42.2 | 1000 |

Crystal structure
Lattice parameters (Å, degrees): 11.331 11.331 16.442 123.64 123.64 21.77
Element x y z (fractional)
Dy: 0.119 0.119 0.331
Dy: 0.229 0.229 0.826
Dy: 0.771 0.771 0.174
Dy: 0.881 0.881 0.669
In: 0.010 0.010 0.095
In: 0.063 0.063 0.790
In: 0.116 0.116 0.552
In: 0.202 0.202 0.002
In: 0.247 0.247 0.291
In: 0.297 0.297 0.498
In: 0.372 0.372 0.804
In: 0.388 0.388 0.309
In: 0.399 0.399 0.009
In: 0.459 0.459 0.623
In: 0.541 0.541 0.377
In: 0.601 0.601 0.991
In: 0.612 0.612 0.691
In: 0.628 0.628 0.196
In: 0.703 0.703 0.502
In: 0.753 0.753 0.709
In: 0.798 0.798 0.998
In: 0.884 0.884 0.448
In: 0.937 0.937 0.210
In: 0.990 0.990 0.905
Ni: 0.023 0.023 0.600
Ni: 0.137 0.137 0.103
Ni: 0.254 0.254 0.618
Ni: 0.347 0.347 0.121
Ni: 0.493 0.493 0.805
Ni: 0.500 0.500 0.500
Ni: 0.507 0.507 0.195
Ni: 0.653 0.653 0.879
Ni: 0.746 0.746 0.382
Ni: 0.863 0.863 0.897
Ni: 0.977 0.977 0.400



Record 3
Starting from a GGA-PBE-relaxed structure, the powder diffractogram of Sm4Cl6O was simulated for copper Kα.
Intensities are scaled so that the largest is 1000.

Most intense lines, 2θ from 10° to 80°, in order of rising 2θ:
| 2θ/deg | I_rel |
| --- | --- |
| 15.9 | 804 |
| 26.0 | 1000 |
| 32.1 | 327 |
| 34.6 | 410 |
| 38.3 | 404 |
| 41.5 | 578 |

Crystal structure
Lattice parameters (Å, degrees): 8.707 8.707 8.283 90.00 90.00 120.00
Element x y z (fractional)
Sm: 0.185 0.369 0.000
Sm: 0.185 0.815 0.000
Sm: 0.333 0.667 0.300
Sm: 0.369 0.185 0.500
Sm: 0.631 0.815 0.000
Sm: 0.667 0.333 0.800
Sm: 0.815 0.185 0.500
Sm: 0.815 0.631 0.500
Cl: 0.035 0.517 0.667
Cl: 0.137 0.274 0.344
Cl: 0.137 0.863 0.344
Cl: 0.274 0.137 0.844
Cl: 0.483 0.517 0.667
Cl: 0.483 0.965 0.667
Cl: 0.517 0.035 0.167
Cl: 0.517 0.483 0.167
Cl: 0.726 0.863 0.344
Cl: 0.863 0.137 0.844
Cl: 0.863 0.726 0.844
Cl: 0.965 0.483 0.167
O: 0.333 0.667 0.017
O: 0.667 0.333 0.517



Record 4
Starting from a GGA-PBE-relaxed structure, the powder diffractogram of BaLiBS3 was simulated for copper Kα.
Intensities are scaled so that the largest is 1000.

Most intense lines, 2θ from 10° to 80°, in order of rising 2θ:
| 2θ/deg | I_rel |
| --- | --- |
| 16.4 | 912 |
| 23.0 | 464 |
| 23.2 | 541 |
| 24.0 | 678 |
| 27.7 | 1000 |
| 36.9 | 586 |

Crystal structure
Lattice parameters (Å, degrees): 7.664 8.775 8.792 90.00 116.36 90.00
Element x y z (fractional)
Ba: 0.186 0.131 0.312
Ba: 0.186 0.369 0.812
Ba: 0.814 0.631 0.188
Ba: 0.814 0.869 0.688
Li: 0.388 0.574 0.295
Li: 0.388 0.926 0.795
Li: 0.612 0.074 0.205
Li: 0.612 0.426 0.705
B: 0.271 0.659 0.580
B: 0.271 0.841 0.080
B: 0.729 0.159 0.920
B: 0.729 0.341 0.420
S: 0.117 0.672 0.009
S: 0.117 0.828 0.509
S: 0.214 0.015 0.954
S: 0.214 0.485 0.454
S: 0.485 0.657 0.788
S: 0.485 0.843 0.288
S: 0.515 0.157 0.712
S: 0.515 0.343 0.212
S: 0.786 0.515 0.546
S: 0.786 0.985 0.046
S: 0.883 0.172 0.491
S: 0.883 0.328 0.991



Record 5
Starting from a GGA-PBE-relaxed structure, the powder diffractogram of UTeO5 was simulated for copper Kα.
Intensities are scaled so that the largest is 1000.

Most intense lines, 2θ from 10° to 80°, in order of rising 2θ:
| 2θ/deg | I_rel |
| --- | --- |
| 16.0 | 329 |
| 18.1 | 276 |
| 23.4 | 1000 |
| 27.9 | 542 |
| 28.5 | 765 |
| 44.9 | 366 |

Crystal structure
Lattice parameters (Å, degrees): 5.538 10.417 7.848 90.00 90.00 90.00
Element x y z (fractional)
U: 0.032 0.015 0.250
U: 0.032 0.485 0.750
U: 0.968 0.515 0.250
U: 0.968 0.985 0.750
Te: 0.359 0.250 0.000
Te: 0.359 0.250 0.500
Te: 0.641 0.750 0.000
Te: 0.641 0.750 0.500
O: 0.144 0.105 0.527
O: 0.144 0.105 0.973
O: 0.144 0.395 0.027
O: 0.144 0.395 0.473
O: 0.237 0.614 0.250
O: 0.237 0.886 0.750
O: 0.267 0.208 0.250
O: 0.267 0.292 0.750
O: 0.303 0.585 0.750
O: 0.303 0.915 0.250
O: 0.697 0.085 0.750
O: 0.697 0.415 0.250
O: 0.733 0.708 0.250
O: 0.733 0.792 0.750
O: 0.763 0.114 0.250
O: 0.763 0.386 0.750
O: 0.856 0.605 0.527
O: 0.856 0.605 0.973
O: 0.856 0.895 0.027
O: 0.856 0.895 0.473



Record 6
Starting from a GGA-PBE-relaxed structure, the powder diffractogram of SrCaZr4O12 was simulated for copper Kα.
Intensities are scaled so that the largest is 1000.

Most intense lines, 2θ from 10° to 80°, in order of rising 2θ:
| 2θ/deg | I_rel |
| --- | --- |
| 18.6 | 403 |
| 21.2 | 672 |
| 30.2 | 565 |
| 30.9 | 1000 |
| 43.2 | 438 |
| 54.0 | 435 |

Crystal structure
Lattice parameters (Å, degrees): 8.374 5.804 5.804 92.57 90.00 90.00
Element x y z (fractional)
Sr: 0.000 0.000 0.000
Ca: 0.500 0.597 0.597
Zr: 0.261 0.075 0.535
Zr: 0.261 0.535 0.075
Zr: 0.739 0.075 0.535
Zr: 0.739 0.535 0.075
O: 0.000 0.076 0.527
O: 0.000 0.527 0.076
O: 0.218 0.259 0.850
O: 0.218 0.850 0.259
O: 0.242 0.774 0.774
O: 0.310 0.372 0.372
O: 0.500 0.562 0.990
O: 0.500 0.990 0.562
O: 0.690 0.372 0.372
O: 0.758 0.774 0.774
O: 0.782 0.259 0.850
O: 0.782 0.850 0.259



Record 7
Starting from a GGA-PBE-relaxed structure, the powder diffractogram of HoInIr was simulated for copper Kα.
Intensities are scaled so that the largest is 1000.

Most intense lines, 2θ from 10° to 80°, in order of rising 2θ:
| 2θ/deg | I_rel |
| --- | --- |
| 32.9 | 846 |
| 35.8 | 1000 |
| 36.6 | 334 |
| 41.7 | 488 |
| 43.4 | 382 |
| 67.1 | 341 |

Crystal structure
Lattice parameters (Å, degrees): 7.498 7.498 3.962 90.00 90.00 120.00
Element x y z (fractional)
Ho: 0.000 0.405 0.000
Ho: 0.405 0.000 0.000
Ho: 0.595 0.595 0.000
In: 0.000 0.742 0.500
In: 0.258 0.258 0.500
In: 0.742 0.000 0.500
Ir: 0.000 0.000 0.000
Ir: 0.333 0.667 0.500
Ir: 0.667 0.333 0.500



Record 8
Starting from a GGA-PBE-relaxed structure, the powder diffractogram of Sb2O3 was simulated for copper Kα.
Intensities are scaled so that the largest is 1000.

Most intense lines, 2θ from 10° to 80°, in order of rising 2θ:
| 2θ/deg | I_rel |
| --- | --- |
| 18.5 | 261 |
| 24.6 | 242 |
| 27.5 | 1000 |
| 28.3 | 300 |
| 49.6 | 240 |
| 53.3 | 150 |

Crystal structure
Lattice parameters (Å, degrees): 5.193 12.623 5.515 90.00 90.00 90.00
Element x y z (fractional)
Sb: 0.053 0.127 0.177
Sb: 0.053 0.373 0.677
Sb: 0.447 0.127 0.677
Sb: 0.447 0.373 0.177
Sb: 0.553 0.627 0.823
Sb: 0.553 0.873 0.323
Sb: 0.947 0.627 0.323
Sb: 0.947 0.873 0.823
O: 0.150 0.058 0.854
O: 0.150 0.442 0.354
O: 0.250 0.250 0.016
O: 0.250 0.250 0.516
O: 0.350 0.058 0.354
O: 0.350 0.442 0.854
O: 0.650 0.558 0.146
O: 0.650 0.942 0.646
O: 0.750 0.750 0.484
O: 0.750 0.750 0.984
O: 0.850 0.558 0.646
O: 0.850 0.942 0.146